Record 1
Structure and simulated powder diffractogram of Pm2HgPd3Au12 (a structure optimized by DFT (PBE); Cu Kα, 1.54184 Å).
Lines closer than 0.1° are merged.

Structure:
```
data_Pm2HgPd3Au12
_space_group_name_H-M_alt 'R -3 m'
_space_group_IT_number 166
_space_group_name_Hall '-R 3 2"'
_cell_length_a 9.4808
_cell_length_b 9.4808
_cell_length_c 13.9424
_cell_angle_alpha 90.00
_cell_angle_beta 90.00
_cell_angle_gamma 120.00
loop_
_atom_site_label
_atom_site_fract_x
_atom_site_fract_y
_atom_site_fract_z
Pm1 0.0000 0.0000 0.2384
Hg1 0.0000 0.0000 0.5000
Pd1 0.0000 0.5000 0.0000
Au1 0.0009 0.5005 0.7991
Au2 0.0302 0.5151 0.6014
```

Peak list (8 most intense, 5 to 70 degrees two-theta, sorted by position)
2θ/deg  intensity  (hkl)
34.0  14.1  0 1 5
38.0  100.0  2 2 0
38.9  10.6  2 1 4
39.0  64.4  2 0 5
43.6  14.2  1 2 5
55.6  21.1  0 4 5
68.6  17.5  6 0 0
69.3  19.9  4 2 5

Record 2
Structure and simulated powder diffractogram of Sr2HgPdAu6 (a structure optimized by DFT (PBE); Cu Kα, 1.54184 Å).
Lines closer than 0.1° are merged.

Structure:
```
data_Sr2HgPdAu6
_space_group_name_H-M_alt 'F m -3 m'
_space_group_IT_number 225
_space_group_name_Hall '-F 4 2 3'
_cell_length_a 10.392
_cell_length_b 10.392
_cell_length_c 10.392
_cell_angle_alpha 90.00
_cell_angle_beta 90.00
_cell_angle_gamma 90.00
loop_
_atom_site_label
_atom_site_fract_x
_atom_site_fract_y
_atom_site_fract_z
Sr1 0.250 0.250 0.250
Hg1 0.000 0.000 0.000
Pd1 0.000 0.000 0.500
Au1 0.000 0.000 0.255
```

Peak list (8 most intense, 5 to 70 degrees two-theta, sorted by position)
2θ/deg  intensity  (hkl)
17.1  54.1  2 0 0
29.8  77.7  2 2 2
34.5  100.0  4 0 0
38.8  29.2  4 2 0
49.6  72.2  4 4 0
52.9  15.1  6 0 0
59.0  34.4  6 2 2
61.9  24.9  4 4 4

Record 3
Structure and simulated powder diffractogram of Tl2HgPd5Au2 (a structure optimized by DFT (PBE); Cu Kα, 1.54184 Å).
Lines closer than 0.1° are merged.

Structure:
```
data_Tl2HgPd5Au2
_space_group_name_H-M_alt 'P 4/m b m'
_space_group_IT_number 127
_space_group_name_Hall '-P 4 2ab'
_cell_length_a 9.883
_cell_length_b 9.883
_cell_length_c 3.944
_cell_angle_alpha 90.00
_cell_angle_beta 90.00
_cell_angle_gamma 90.00
loop_
_atom_site_label
_atom_site_fract_x
_atom_site_fract_y
_atom_site_fract_z
Tl1 0.158 0.342 0.000
Hg1 0.000 0.000 0.000
Pd1 0.000 0.500 0.500
Pd2 0.016 0.794 0.500
Au1 0.145 0.645 0.000
```

Peak list (8 most intense, 5 to 70 degrees two-theta, sorted by position)
2θ/deg  intensity  (hkl)
28.6  23.9  3 1 0
34.3  24.4  2 2 1
36.7  100.0  3 1 1
38.7  26.3  3 3 0
43.2  29.4  4 0 1
46.0  21.6  0 0 2
55.8  14.0  6 0 0
61.6  13.4  3 3 2

Record 4
Structure and simulated powder diffractogram of Tm4HgPdAu2 (a structure optimized by DFT (PBE); Cu Kα, 1.54184 Å).
Lines closer than 0.1° are merged.

Structure:
```
data_Tm4HgPdAu2
_space_group_name_H-M_alt 'R -3 m'
_space_group_IT_number 166
_space_group_name_Hall '-R 3 2"'
_cell_length_a 5.0371
_cell_length_b 5.0371
_cell_length_c 24.6022
_cell_angle_alpha 90.00
_cell_angle_beta 90.00
_cell_angle_gamma 120.00
loop_
_atom_site_label
_atom_site_fract_x
_atom_site_fract_y
_atom_site_fract_z
Tm1 0.0000 0.0000 0.1204
Tm2 0.0000 0.0000 0.3713
Hg1 0.0000 0.0000 0.5000
Pd1 0.0000 0.0000 0.0000
Au1 0.0000 0.0000 0.2471
```

Peak list (8 most intense, 5 to 70 degrees two-theta, sorted by position)
2θ/deg  intensity  (hkl)
21.6  0.9  0 0 6
32.7  1.9  1 0 7
35.7  100.0  1 1 0
49.2  0.7  0 2 7
51.4  17.6  2 0 8
64.1  27.6  3 0 0
64.2  8.3  1 0 16
68.2  1.5  1 1 15

Record 5
Structure and simulated powder diffractogram of Pm2HgAu5 (a structure optimized by DFT (PBE); Cu Kα, 1.54184 Å).
Lines closer than 0.1° are merged.

Structure:
```
data_Pm2HgAu5
_space_group_name_H-M_alt 'I 4 m m'
_space_group_IT_number 107
_space_group_name_Hall 'I 4 -2'
_cell_length_a 6.528
_cell_length_b 6.528
_cell_length_c 8.493
_cell_angle_alpha 90.00
_cell_angle_beta 90.00
_cell_angle_gamma 90.00
loop_
_atom_site_label
_atom_site_fract_x
_atom_site_fract_y
_atom_site_fract_z
Pm1 0.000 0.500 0.000
Hg1 0.000 0.000 0.426
Au1 0.000 0.000 0.035
Au2 0.221 0.221 0.746
```

Peak list (8 most intense, 5 to 70 degrees two-theta, sorted by position)
2θ/deg  intensity  (hkl)
34.5  13.3  1 0 3
34.7  100.0  2 0 2
39.0  38.9  2 2 0
42.6  10.7  0 0 4
56.4  11.5  4 0 0
59.1  13.5  2 2 4
60.7  12.0  3 2 3
67.9  24.5  4 2 2

Record 6
Structure and simulated powder diffractogram of Pm6Hg6Au (a structure optimized by DFT (PBE); Cu Kα, 1.54184 Å).
Lines closer than 0.1° are merged.

Structure:
```
data_Pm6Hg6Au
_space_group_name_H-M_alt 'C m m m'
_space_group_IT_number 65
_space_group_name_Hall '-C 2 2'
_cell_length_a 6.433
_cell_length_b 11.162
_cell_length_c 10.476
_cell_angle_alpha 90.00
_cell_angle_beta 90.00
_cell_angle_gamma 90.00
loop_
_atom_site_label
_atom_site_fract_x
_atom_site_fract_y
_atom_site_fract_z
Pm1 0.000 0.000 0.215
Pm2 0.000 0.333 0.000
Pm3 0.000 0.334 0.500
Hg1 0.000 0.500 0.249
Hg2 0.250 0.250 0.250
Au1 0.000 0.000 0.500
```

Peak list (8 most intense, 5 to 70 degrees two-theta, sorted by position)
2θ/deg  intensity  (hkl)
16.9  19.9  0 0 2
32.1  56.3  2 2 0
32.6  46.7  2 0 2
34.2  38.2  0 0 4
36.5  100.0  0 4 2
47.6  32.7  2 2 4
57.2  29.4  4 0 0
68.4  31.4  4 0 4

Record 7
Structure and simulated powder diffractogram of Pm3Hg3Au2 (a structure optimized by DFT (PBE); Cu Kα, 1.54184 Å).
Lines closer than 0.1° are merged.

Structure:
```
data_Pm3Hg3Au2
_space_group_name_H-M_alt 'P -6 2 m'
_space_group_IT_number 189
_space_group_name_Hall 'P -6 -2'
_cell_length_a 7.8339
_cell_length_b 7.8339
_cell_length_c 3.8880
_cell_angle_alpha 90.00
_cell_angle_beta 90.00
_cell_angle_gamma 120.00
loop_
_atom_site_label
_atom_site_fract_x
_atom_site_fract_y
_atom_site_fract_z
Pm1 0.0000 0.4072 0.0000
Hg1 0.0000 0.7684 0.5000
Au1 0.3333 0.6667 0.5000
```

Peak list (8 most intense, 5 to 70 degrees two-theta, sorted by position)
2θ/deg  intensity  (hkl)
32.4  100.0  1 1 1
35.0  84.2  2 1 0
35.1  56.3  2 0 1
42.2  34.8  2 1 1
46.7  20.8  0 0 2
59.7  36.7  2 1 2
64.5  20.7  3 2 1
67.7  25.7  4 1 1

Record 8
Structure and simulated powder diffractogram of Pm3Hg7Au2 (a structure optimized by DFT (PBE); Cu Kα, 1.54184 Å).
Lines closer than 0.1° are merged.

Structure:
```
data_Pm3Hg7Au2
_space_group_name_H-M_alt 'P 1 2/m 1'
_space_group_IT_number 10
_cell_length_a 4.858
_cell_length_b 3.924
_cell_length_c 16.060
_cell_angle_alpha 90.00
_cell_angle_beta 98.47
_cell_angle_gamma 90.00
loop_
_space_group_symop_operation_xyz
'x,y,z'
'-x,-y,-z'
'-x,y,-z'
'x,-y,z'
loop_
_atom_site_label
_atom_site_fract_x
_atom_site_fract_y
_atom_site_fract_z
Pm1 0.000 0.000 0.000
Pm2 0.320 0.500 0.642
Hg1 0.077 0.500 0.153
Hg2 0.230 0.000 0.459
Hg3 0.409 0.000 0.824
Hg4 0.500 0.500 0.000
Au1 0.148 0.000 0.287
```

Peak list (8 most intense, 5 to 70 degrees two-theta, sorted by position)
2θ/deg  intensity  (hkl)
32.1  18.5  0 1 4
32.5  100.0  1 1 2
33.9  15.7  0 0 6
35.4  49.3  1 1 -4
36.2  15.1  1 0 -6
37.0  44.7  2 0 -1
46.3  25.7  0 2 0
60.7  22.4  2 2 -1

Record 9
Structure and simulated powder diffractogram of Pm2Hg5Au (a structure optimized by DFT (PBE); Cu Kα, 1.54184 Å).
Lines closer than 0.1° are merged.

Structure:
```
data_Pm2Hg5Au
_space_group_name_H-M_alt 'R -3 m'
_space_group_IT_number 166
_space_group_name_Hall '-R 3 2"'
_cell_length_a 4.8116
_cell_length_b 4.8116
_cell_length_c 32.4579
_cell_angle_alpha 90.00
_cell_angle_beta 90.00
_cell_angle_gamma 120.00
loop_
_atom_site_label
_atom_site_fract_x
_atom_site_fract_y
_atom_site_fract_z
Pm1 0.0000 0.0000 0.0929
Hg1 0.0000 0.0000 0.2004
Hg2 0.0000 0.0000 0.3702
Hg3 0.0000 0.0000 0.5000
Au1 0.0000 0.0000 0.0000
```

Peak list (8 most intense, 5 to 70 degrees two-theta, sorted by position)
2θ/deg  intensity  (hkl)
28.8  49.3  1 0 7
30.8  12.3  0 1 8
35.0  37.8  1 0 10
37.4  100.0  1 1 0
47.9  12.5  0 2 7
52.2  12.3  0 2 10
65.9  12.3  2 1 10
67.4  24.1  3 0 0

Record 10
Structure and simulated powder diffractogram of PmHg3Au8 (a structure optimized by DFT (PBE); Cu Kα, 1.54184 Å).
Lines closer than 0.1° are merged.

Structure:
```
data_PmHg3Au8
_space_group_name_H-M_alt 'R 3 m'
_space_group_IT_number 160
_space_group_name_Hall 'R 3 -2"'
_cell_length_a 5.6526
_cell_length_b 5.6526
_cell_length_c 27.3999
_cell_angle_alpha 90.00
_cell_angle_beta 90.00
_cell_angle_gamma 120.00
loop_
_atom_site_label
_atom_site_fract_x
_atom_site_fract_y
_atom_site_fract_z
Pm1 0.0000 0.0000 0.0000
Hg1 0.0000 0.0000 0.1282
Hg2 0.0000 0.0000 0.5016
Hg3 0.0000 0.0000 0.6244
Au1 0.0000 0.0000 0.3140
Au2 0.0000 0.0000 0.8141
Au3 0.0009 0.5005 0.5644
Au4 0.1673 0.3345 0.3971
```

Peak list (8 most intense, 5 to 70 degrees two-theta, sorted by position)
2θ/deg  intensity  (hkl)
37.3  50.1  2 0 2
37.4  100.0  1 1 6
37.6  48.6  1 0 10
39.1  63.6  0 2 4
60.2  25.4  3 0 6
60.4  24.9  2 1 10
66.1  30.0  2 2 0
66.7  29.1  0 2 16

Record 11
Structure and simulated powder diffractogram of PmPuHgAu (a structure optimized by DFT (PBE); Cu Kα, 1.54184 Å).
Lines closer than 0.1° are merged.

Structure:
```
data_PmPuHgAu
_space_group_name_H-M_alt 'P 4 m m'
_space_group_IT_number 99
_cell_length_a 3.693
_cell_length_b 3.693
_cell_length_c 7.590
_cell_angle_alpha 90.00
_cell_angle_beta 90.00
_cell_angle_gamma 90.00
loop_
_space_group_symop_operation_xyz
'x,y,z'
'-y,x,z'
'-x,-y,z'
'y,-x,z'
'-x,y,z'
'y,x,z'
'x,-y,z'
'-y,-x,z'
loop_
_atom_site_label
_atom_site_fract_x
_atom_site_fract_y
_atom_site_fract_z
Pm1 0.000 0.000 0.000
Pu1 0.000 0.000 0.529
Hg1 0.500 0.500 0.264
Au1 0.500 0.500 0.770
```

Peak list (8 most intense, 5 to 70 degrees two-theta, sorted by position)
2θ/deg  intensity  (hkl)
11.7  3.4  0 0 1
26.8  2.9  1 0 1
33.9  100.0  1 0 2
34.3  49.0  1 1 0
47.9  9.2  0 0 4
49.4  17.9  2 0 0
60.3  18.6  1 1 4
61.2  37.3  2 1 2

Record 12
Structure and simulated powder diffractogram of PmSmHgAu (a structure optimized by DFT (PBE); Cu Kα, 1.54184 Å).
Lines closer than 0.1° are merged.

Structure:
```
data_PmSmHgAu
_space_group_name_H-M_alt 'P 4 m m'
_space_group_IT_number 99
_cell_length_a 3.742
_cell_length_b 3.742
_cell_length_c 7.492
_cell_angle_alpha 90.00
_cell_angle_beta 90.00
_cell_angle_gamma 90.00
loop_
_space_group_symop_operation_xyz
'x,y,z'
'-y,x,z'
'-x,-y,z'
'y,-x,z'
'-x,y,z'
'y,x,z'
'x,-y,z'
'-y,-x,z'
loop_
_atom_site_label
_atom_site_fract_x
_atom_site_fract_y
_atom_site_fract_z
Pm1 0.000 0.000 0.000
Sm1 0.000 0.000 0.477
Hg1 0.500 0.500 0.737
Au1 0.500 0.500 0.243
```

Peak list (6 most intense, 5 to 70 degrees two-theta, sorted by position)
2θ/deg  intensity  (hkl)
23.8  2.5  0 0 2
33.9  100.0  1 1 0
41.8  0.9  1 1 2
48.6  18.1  2 0 0
54.8  1.3  1 0 4
60.6  37.5  2 1 2

Record 13
Structure and simulated powder diffractogram of PrHg3Au3 (a structure optimized by DFT (PBE); Cu Kα, 1.54184 Å).
Lines closer than 0.1° are merged.

Structure:
```
data_PrHg3Au3
_space_group_name_H-M_alt 'R -3'
_space_group_IT_number 148
_space_group_name_Hall '-R 3'
_cell_length_a 7.5167
_cell_length_b 7.5167
_cell_length_c 20.0179
_cell_angle_alpha 90.00
_cell_angle_beta 90.00
_cell_angle_gamma 120.00
loop_
_atom_site_label
_atom_site_fract_x
_atom_site_fract_y
_atom_site_fract_z
Pr1 0.0000 0.0000 0.1592
Hg1 0.0324 0.4291 0.3773
Au1 0.0052 0.2356 0.5584
```

Peak list (8 most intense, 5 to 70 degrees two-theta, sorted by position)
2θ/deg  intensity  (hkl)
23.7  17.0  1 1 0
27.2  22.6  2 -1 3
32.8  26.3  0 2 4
34.2  24.5  1 0 7
36.0  100.0  2 -1 6
36.8  72.9  2 1 1
37.6  55.1  1 2 2
60.7  31.8  1 3 7